For Mg4CoAu, a GGA-PBE-relaxed structure gives the calculated powder XRD pattern in this record (Cu Kα (weighted mean of Kα1 and Kα2)).
Kinematic intensities with the Lorentz-polarization factor, no thermal factor.

Largest 10 diffraction maxima, sorted by position, 5° ≤ 2θ ≤ 70°:
d = 4.443 Å, 19.98 deg, I = 70
d = 3.848 Å, 23.11 deg, I = 26
d = 2.721 Å, 32.92 deg, I = 82
d = 2.321 Å, 38.81 deg, I = 100
d = 2.222 Å, 40.61 deg, I = 13
d = 1.766 Å, 51.78 deg, I = 19
d = 1.721 Å, 53.23 deg, I = 12
d = 1.571 Å, 58.78 deg, I = 31
d = 1.481 Å, 62.73 deg, I = 32
d = 1.361 Å, 69.03 deg, I = 18

Atomic structure:
a b c (Å): 5.4421 5.4421 5.4421
angles (deg): 60.00 60.00 60.00
Fractional positions:
Mg 0.1251 0.1251 0.1251
Mg 0.1251 0.1251 0.6246
Mg 0.1251 0.6246 0.1251
Mg 0.6246 0.1251 0.1251
Co 0.5000 0.5000 0.5000
Au 0.7500 0.7500 0.7500